Li4Mn3Sn5O16: computed PXRD pattern (Cu Kα (λ = 1.5418 Å)), based on a GGA+U-relaxed structure.

Crystal structure
abc: 6.266 6.266 9.962
angles: 91.73 91.73 58.40
Element x y z (fractional)
Li 0.000 0.000 0.000
Li 0.017 0.017 0.508
Li 0.340 0.340 0.598
Li 0.671 0.671 0.092
Mn 0.171 0.171 0.280
Mn 0.340 0.832 0.783
Mn 0.832 0.340 0.783
Sn 0.170 0.662 0.281
Sn 0.328 0.328 0.002
Sn 0.662 0.170 0.281
Sn 0.666 0.666 0.508
Sn 0.831 0.831 0.778
O 0.005 0.005 0.692
O 0.035 0.494 0.145
O 0.156 0.156 0.896
O 0.157 0.668 0.899
O 0.327 0.830 0.403
O 0.343 0.343 0.395
O 0.485 0.485 0.152
O 0.494 0.035 0.145
O 0.522 0.973 0.646
O 0.525 0.525 0.663
O 0.665 0.665 0.883
O 0.668 0.157 0.899
O 0.830 0.327 0.403
O 0.840 0.840 0.398
O 0.973 0.522 0.646
O 0.996 0.996 0.183

Principal peaks in the range 2θ from 10° to 90°, in order of falling intensity:
2θ (°), d/Å, I_rel
18.74, 4.734, 100
34.30, 2.614, 65
18.24, 4.863, 65
17.82, 4.978, 61
32.01, 2.796, 53
19.00, 4.670, 50
59.02, 1.565, 49
24.63, 3.614, 44
33.36, 2.686, 44
34.97, 2.566, 43

SrLiMn2O4: computed PXRD pattern (Cu Kα (λ = 1.5418 Å)), based on a GGA+U-relaxed structure.

Crystal structure
abc: 5.591 5.591 10.519
angles: 90.00 90.00 145.71
Element x y z (fractional)
Sr 0.105 0.895 0.750
Sr 0.895 0.105 0.250
Li 0.165 0.835 0.250
Li 0.835 0.165 0.750
Mn 0.366 0.634 0.555
Mn 0.366 0.634 0.945
Mn 0.634 0.366 0.055
Mn 0.634 0.366 0.445
O 0.000 0.000 0.000
O 0.000 0.000 0.500
O 0.268 0.732 0.109
O 0.268 0.732 0.391
O 0.423 0.577 0.750
O 0.577 0.423 0.250
O 0.732 0.268 0.609
O 0.732 0.268 0.891

Principal peaks in the range 2θ from 10° to 90°, in order of falling intensity:
2θ (°), d/Å, I_rel
30.50, 2.931, 100
38.17, 2.358, 96
33.15, 2.702, 64
41.07, 2.198, 61
58.10, 1.588, 46
29.61, 3.017, 37
52.29, 1.749, 37
33.55, 2.671, 35
54.03, 1.697, 25
55.78, 1.648, 24